1.
MoH8N2O4: simulated powder XRD pattern (CuKα), based on a cell relaxed with GGA+U.
Neutral-atom scattering factors, no anomalous dispersion.

Structure:
```
data_MoH8N2O4
_cell_length_a 7.2562
_cell_length_b 7.2562
_cell_length_c 7.8476
_cell_angle_alpha 115.60
_cell_angle_beta 115.60
_cell_angle_gamma 55.80
_symmetry_space_group_name_H-M 'P 1'
_symmetry_Int_Tables_number 1
loop_
_symmetry_equiv_pos_as_xyz
'x,y,z'
loop_
_atom_site_label
_atom_site_type_symbol
_atom_site_fract_x
_atom_site_fract_y
_atom_site_fract_z
Mo1 Mo 0.1704 0.1704 0.2266
Mo2 Mo 0.8296 0.8296 0.7734
H1 H 0.0935 0.0935 0.7524
H2 H 0.1003 0.3450 0.7994
H3 H 0.1381 0.1381 0.5824
H4 H 0.3244 0.5719 0.1321
H5 H 0.3450 0.1003 0.7994
H6 H 0.4146 0.4146 0.2876
H7 H 0.4281 0.6756 0.8679
H8 H 0.4431 0.4431 0.6644
H9 H 0.5569 0.5569 0.3356
H10 H 0.5719 0.3244 0.1321
H11 H 0.5854 0.5854 0.7124
H12 H 0.6550 0.8997 0.2006
H13 H 0.6756 0.4281 0.8679
H14 H 0.8619 0.8619 0.4176
H15 H 0.8997 0.6550 0.2006
H16 H 0.9065 0.9065 0.2476
N1 N 0.1683 0.1683 0.7338
N2 N 0.4686 0.4686 0.2219
N3 N 0.5314 0.5314 0.7781
N4 N 0.8317 0.8317 0.2662
O1 O 0.0708 0.6372 0.9204
O2 O 0.0740 0.0740 0.3333
O3 O 0.3249 0.3249 0.4130
O4 O 0.3628 0.9292 0.0796
O5 O 0.6372 0.0708 0.9204
O6 O 0.6751 0.6751 0.5870
O7 O 0.9260 0.9260 0.6667
O8 O 0.9292 0.3628 0.0796
```

Peak list (12 most intense, 10 to 90 degrees two-theta, by angle)
| 2θ (°) | d (Å) | I_rel |
| --- | --- | --- |
| 14.76 | 6.002 | 38 |
| 15.26 | 5.805 | 36 |
| 15.84 | 5.594 | 20 |
| 17.34 | 5.113 | 100 |
| 22.45 | 3.960 | 44 |
| 22.89 | 3.885 | 20 |
| 25.00 | 3.562 | 18 |
| 26.03 | 3.423 | 25 |
| 26.25 | 3.395 | 39 |
| 27.28 | 3.269 | 50 |
| 28.56 | 3.126 | 46 |
| 37.30 | 2.410 | 31 |

=====

2.
Li3FeSiO5: simulated powder XRD pattern (CuKα), based on a cell relaxed with GGA+U.
Neutral-atom scattering factors, no anomalous dispersion.

Structure:
```
data_Li3FeSiO5
_cell_length_a 5.0134
_cell_length_b 5.5611
_cell_length_c 6.6680
_cell_angle_alpha 78.02
_cell_angle_beta 74.02
_cell_angle_gamma 73.89
_symmetry_space_group_name_H-M 'P 1'
_symmetry_Int_Tables_number 1
loop_
_symmetry_equiv_pos_as_xyz
'x,y,z'
loop_
_atom_site_label
_atom_site_type_symbol
_atom_site_fract_x
_atom_site_fract_y
_atom_site_fract_z
Li1 Li 0.0023 0.2605 0.4976
Li2 Li 0.1854 0.0539 0.1032
Li3 Li 0.1885 0.5523 0.1027
Li4 Li 0.8115 0.4477 0.8973
Li5 Li 0.8146 0.9461 0.8968
Li6 Li 0.9977 0.7395 0.5024
Fe1 Fe 0.4083 0.8431 0.7128
Fe2 Fe 0.5917 0.1569 0.2872
Si1 Si 0.4170 0.3367 0.7424
Si2 Si 0.5830 0.6633 0.2576
O1 O 0.1493 0.6201 0.7848
O2 O 0.1528 0.1626 0.7815
O3 O 0.3368 0.9240 0.3839
O4 O 0.3388 0.4659 0.3784
O5 O 0.4953 0.2540 0.9822
O6 O 0.5047 0.7460 0.0178
O7 O 0.6612 0.5341 0.6216
O8 O 0.6632 0.0760 0.6161
O9 O 0.8472 0.8374 0.2185
O10 O 0.8507 0.3799 0.2152
```

Peak list (12 most intense, 10 to 90 degrees two-theta, by angle)
| 2θ (°) | d (Å) | I_rel |
| --- | --- | --- |
| 18.94 | 4.686 | 100 |
| 20.79 | 4.272 | 41 |
| 28.13 | 3.173 | 41 |
| 30.14 | 2.965 | 16 |
| 34.84 | 2.575 | 20 |
| 42.63 | 2.121 | 48 |
| 45.32 | 2.001 | 83 |
| 45.60 | 1.990 | 10 |
| 61.49 | 1.508 | 10 |
| 63.97 | 1.455 | 42 |
| 64.68 | 1.441 | 10 |
| 67.35 | 1.390 | 11 |